1.
For Mg6VB, a structure optimized by DFT (GGA-PBE) gives the calculated powder diffraction line list in this record (CuKα).

The 10 most intense peaks (2θ from 10° to 80°), most intense first:
d [Å]  Position (°2θ)  intensity  index
2.390  37.6  100  1 2 2
6.881  12.9  42  0 1 1
2.580  34.8  33  0 0 4
2.311  39.0  27  0 4 0
5.159  17.2  17  0 0 2
2.949  30.3  17  0 3 1
2.107  42.9  16  0 4 2
1.397  67.0  14  2 0 4
1.450  64.2  14  1 2 6
2.993  29.9  12  1 1 1

Structural model:
```
data_Mg6VB
_symmetry_space_group_name_H-M 'A m m 2'
_symmetry_Int_Tables_number 38
_cell_length_a 3.323
_cell_length_b 9.233
_cell_length_c 10.319
_cell_angle_alpha 90.00
_cell_angle_beta 90.00
_cell_angle_gamma 90.00
loop_
_symmetry_equiv_pos_as_xyz
'x,y,z'
'-x,-y,z'
'-x,y,z'
'x,-y,z'
'x,y+1/2,z+1/2'
'-x,-y+1/2,z+1/2'
'-x,y+1/2,z+1/2'
'x,-y+1/2,z+1/2'
loop_
_atom_site_label
_atom_site_fract_x
_atom_site_fract_y
_atom_site_fract_z
_atom_site_occupancy
Mg1 0.000 0.000 0.000 1
Mg2 0.000 0.169 0.289 1
Mg3 0.500 0.000 0.756 1
Mg4 0.500 0.240 0.538 1
V1 0.000 0.000 0.521 1
B1 0.500 0.000 0.403 1
```

***

2.
For Cs2InBiI6, a structure optimized by DFT (GGA-PBE) gives the calculated powder diffraction line list in this record (CuKα).

The 10 most intense peaks (2θ from 10° to 80°), most intense first:
d [Å]  Position (°2θ)  intensity  index
3.177  28.1  100  4 0 0
2.247  40.1  76  4 4 0
3.669  24.3  52  2 2 2
1.421  65.7  35  8 4 0
4.493  19.8  29  2 2 0
6.355  13.9  29  2 0 0
1.834  49.7  27  4 4 4
1.297  72.9  26  8 4 4
1.916  47.5  24  6 2 2
2.842  31.5  16  4 2 0

Structural model:
```
data_Cs2InBiI6
_symmetry_space_group_name_H-M 'F m -3 m'
_symmetry_Int_Tables_number 225
_symmetry_space_group_name_Hall '-F 4 2 3'
_cell_length_a 12.709
_cell_length_b 12.709
_cell_length_c 12.709
_cell_angle_alpha 90.00
_cell_angle_beta 90.00
_cell_angle_gamma 90.00
loop_
_atom_site_label
_atom_site_fract_x
_atom_site_fract_y
_atom_site_fract_z
_atom_site_occupancy
Cs1 0.250 0.250 0.250 1
In1 0.000 0.000 0.000 1
Bi1 0.000 0.000 0.500 1
I1 0.000 0.000 0.256 1
```

***

3.
For Rb3RhF6, a structure optimized by DFT (GGA-PBE) gives the calculated powder diffraction line list in this record (CuKα).

The 10 most intense peaks (2θ from 10° to 80°), most intense first:
d [Å]  Position (°2θ)  intensity  index
3.290  27.1  100  2 2 0
1.899  47.9  39  4 2 2
2.326  38.7  38  4 0 0
1.645  55.9  23  4 4 0
1.243  76.6  22  6 4 2
1.471  63.2  20  6 2 0
1.343  70.1  7  4 4 4
4.652  19.1  5  2 0 0
5.372  16.5  4  1 1 1
2.686  33.4  3  2 2 2

Structural model:
```
data_Rb3RhF6
_symmetry_space_group_name_H-M 'F m -3 m'
_symmetry_Int_Tables_number 225
_symmetry_space_group_name_Hall '-F 4 2 3'
_cell_length_a 9.304
_cell_length_b 9.304
_cell_length_c 9.304
_cell_angle_alpha 90.00
_cell_angle_beta 90.00
_cell_angle_gamma 90.00
loop_
_atom_site_label
_atom_site_fract_x
_atom_site_fract_y
_atom_site_fract_z
_atom_site_occupancy
Rb1 0.000 0.000 0.000 1
Rb2 0.250 0.250 0.250 1
Rh1 0.000 0.000 0.500 1
F1 0.000 0.000 0.283 1
```

***

4.
For Ti3NiS6, a structure optimized by DFT (GGA-PBE) gives the calculated powder diffraction line list in this record (CuKα).

The 10 most intense peaks (2θ from 10° to 80°), most intense first:
d [Å]  Position (°2θ)  intensity  index
2.041  44.4  100  1 1 6
2.608  34.4  81  2 -1 3
1.695  54.1  44  3 0 0
4.872  18.2  24  1 0 1
1.304  72.5  21  4 -2 6
2.935  30.5  18  1 1 0
4.366  20.3  18  0 1 2
1.420  65.7  18  0 0 12
5.679  15.6  15  0 0 3
1.591  58.0  14  1 1 9

Structural model:
```
data_Ti3NiS6
_symmetry_space_group_name_H-M 'R -3'
_symmetry_Int_Tables_number 148
_symmetry_space_group_name_Hall '-R 3'
_cell_length_a 5.8708
_cell_length_b 5.8708
_cell_length_c 17.0365
_cell_angle_alpha 90.00
_cell_angle_beta 90.00
_cell_angle_gamma 120.00
loop_
_atom_site_label
_atom_site_fract_x
_atom_site_fract_y
_atom_site_fract_z
_atom_site_occupancy
Ti1 0.0000 0.0000 0.0000 1
Ti2 0.0000 0.0000 0.3295 1
Ni1 0.0000 0.0000 0.5000 1
S1 0.0022 0.6641 0.2480 1
```

***

5.
For PrAl2Zn2, a structure optimized by DFT (GGA-PBE) gives the calculated powder diffraction line list in this record (CuKα).

The 10 most intense peaks (2θ from 10° to 80°), most intense first:
d [Å]  Position (°2θ)  intensity  index
2.771  32.3  100  1 0 3
2.622  34.2  90  1 1 2
2.981  30.0  70  1 1 0
1.955  46.5  59  1 0 5
2.108  42.9  56  2 0 0
1.678  54.7  44  2 1 3
1.433  65.1  42  2 1 5
5.516  16.1  34  0 0 2
1.296  73.0  19  3 1 2
1.490  62.3  18  2 2 0

Structural model:
```
data_PrAl2Zn2
_symmetry_space_group_name_H-M 'I 4/m m m'
_symmetry_Int_Tables_number 139
_symmetry_space_group_name_Hall '-I 4 2'
_cell_length_a 4.216
_cell_length_b 4.216
_cell_length_c 11.032
_cell_angle_alpha 90.00
_cell_angle_beta 90.00
_cell_angle_gamma 90.00
loop_
_atom_site_label
_atom_site_fract_x
_atom_site_fract_y
_atom_site_fract_z
_atom_site_occupancy
Pr1 0.000 0.000 0.000 1
Al1 0.000 0.500 0.250 1
Zn1 0.000 0.000 0.388 1
```

***

6.
For K2LiYI6, a structure optimized by DFT (GGA-PBE) gives the calculated powder diffraction line list in this record (CuKα).

The 10 most intense peaks (2θ from 10° to 80°), most intense first:
d [Å]  Position (°2θ)  intensity  index
3.455  25.8  100  2 2 2
2.992  29.9  81  4 0 0
2.116  42.7  60  4 4 0
1.804  50.6  45  6 2 2
5.984  14.8  35  2 0 0
1.338  70.4  26  8 4 0
1.727  53.0  21  4 4 4
1.221  78.3  20  8 4 4
2.676  33.5  19  4 2 0
1.373  68.3  18  6 6 2

Structural model:
```
data_K2LiYI6
_symmetry_space_group_name_H-M 'F m -3 m'
_symmetry_Int_Tables_number 225
_symmetry_space_group_name_Hall '-F 4 2 3'
_cell_length_a 11.967
_cell_length_b 11.967
_cell_length_c 11.967
_cell_angle_alpha 90.00
_cell_angle_beta 90.00
_cell_angle_gamma 90.00
loop_
_atom_site_label
_atom_site_fract_x
_atom_site_fract_y
_atom_site_fract_z
_atom_site_occupancy
K1 0.250 0.250 0.250 1
Li1 0.000 0.000 0.000 1
Y1 0.000 0.000 0.500 1
I1 0.000 0.000 0.248 1
```

***

7.
For CrAgSe2, a structure optimized by DFT (GGA-PBE) gives the calculated powder diffraction line list in this record (CuKα).

The 10 most intense peaks (2θ from 10° to 80°), most intense first:
d [Å]  Position (°2θ)  intensity  index
2.214  40.7  100  1 0 7
3.113  28.7  95  0 1 2
1.881  48.4  79  1 1 0
3.220  27.7  67  1 0 1
2.052  44.1  44  0 1 8
2.773  32.3  35  1 0 4
2.580  34.8  30  0 1 5
1.434  65.1  23  0 2 7
1.468  63.4  19  1 1 9
2.348  38.3  14  0 0 9

Structural model:
```
data_CrAgSe2
_symmetry_space_group_name_H-M 'R 3 m'
_symmetry_Int_Tables_number 160
_symmetry_space_group_name_Hall 'R 3 -2"'
_cell_length_a 3.7620
_cell_length_b 3.7620
_cell_length_c 21.1304
_cell_angle_alpha 90.00
_cell_angle_beta 90.00
_cell_angle_gamma 120.00
loop_
_atom_site_label
_atom_site_fract_x
_atom_site_fract_y
_atom_site_fract_z
_atom_site_occupancy
Cr1 0.0000 0.0000 0.0000 1
Ag1 0.0000 0.0000 0.8496 1
Se1 0.0000 0.0000 0.2669 1
Se2 0.0000 0.0000 0.7284 1
```

***

8.
For BiTe, a structure optimized by DFT (GGA-PBE) gives the calculated powder diffraction line list in this record (CuKα).

The 10 most intense peaks (2θ from 10° to 80°), most intense first:
d [Å]  Position (°2θ)  intensity  index
2.788  32.1  100  1 1 1
3.126  28.6  34  0 2 0
1.732  52.9  25  1 3 1
2.529  35.5  19  0 0 2
1.966  46.2  18  0 2 2
1.505  61.6  16  1 1 3
1.394  67.2  12  2 2 2
1.671  55.0  11  2 2 0
1.977  45.9  9  2 0 0
1.557  59.3  9  2 0 2

Structural model:
```
data_BiTe
_symmetry_space_group_name_H-M 'C m m m'
_symmetry_Int_Tables_number 65
_symmetry_space_group_name_Hall '-C 2 2'
_cell_length_a 3.953
_cell_length_b 6.252
_cell_length_c 5.058
_cell_angle_alpha 90.00
_cell_angle_beta 90.00
_cell_angle_gamma 90.00
loop_
_atom_site_label
_atom_site_fract_x
_atom_site_fract_y
_atom_site_fract_z
_atom_site_occupancy
Bi1 0.000 0.000 0.000 1
Te1 0.000 0.500 0.500 1
```